1.
# Sr5ZnPb3O12
Calculated X-ray powder pattern, a wavelength of 1.5418 Å. Input: DFT lattice parameters and positions (PBE).
No peak broadening, texture or thermal motion is included.

Largest 10 diffraction maxima, in order of rising 2θ, 10 to 80 degrees two-theta:
2θ 17.2, rel. 42; 2θ 30.0, rel. 80; 2θ 30.3, rel. 100; 2θ 43.2, rel. 47; 2θ 53.2, rel. 18; 2θ 53.5, rel. 45; 2θ 60.2, rel. 22; 2θ 62.3, rel. 10; 2θ 70.9, rel. 16; 2θ 76.8, rel. 12

Structure:
a b c (Å): 10.323 10.323 3.588
angles (deg): 90.00 90.00 120.00
Atoms (fractional coordinates):
Sr 0.000 0.301 0.000
Sr 0.301 0.000 0.000
Sr 0.333 0.667 0.001
Sr 0.667 0.333 0.001
Sr 0.699 0.699 0.000
Zn 0.000 0.000 0.080
Pb 0.000 0.661 0.501
Pb 0.339 0.339 0.501
Pb 0.661 0.000 0.501
O 0.000 0.535 0.002
O 0.000 0.819 0.029
O 0.181 0.181 0.029
O 0.206 0.444 0.505
O 0.239 0.794 0.505
O 0.444 0.206 0.505
O 0.465 0.465 0.002
O 0.535 0.000 0.002
O 0.556 0.761 0.505
O 0.761 0.556 0.505
O 0.794 0.239 0.505
O 0.819 0.000 0.029

=====

2.
# Li10B14Cl2O25
Calculated X-ray powder pattern, a wavelength of 1.5418 Å. Input: DFT lattice parameters and positions (PBE).
No peak broadening, texture or thermal motion is included.

Largest 10 diffraction maxima, in order of rising 2θ, 10 to 80 degrees two-theta:
2θ 12.5, rel. 16; 2θ 14.5, rel. 40; 2θ 25.2, rel. 100; 2θ 29.2, rel. 11; 2θ 32.7, rel. 41; 2θ 36.0, rel. 36; 2θ 43.8, rel. 95; 2θ 56.3, rel. 17; 2θ 62.6, rel. 12; 2θ 76.2, rel. 12

Structure:
a b c (Å): 8.652 8.652 8.652
angles (deg): 60.00 60.00 60.00
Atoms (fractional coordinates):
Li 0.207 0.207 0.793
Li 0.207 0.793 0.207
Li 0.207 0.793 0.793
Li 0.385 0.385 0.385
Li 0.385 0.385 0.845
Li 0.385 0.845 0.385
Li 0.793 0.207 0.207
Li 0.793 0.207 0.793
Li 0.793 0.793 0.207
Li 0.845 0.385 0.385
B 0.053 0.649 0.649
B 0.169 0.169 0.169
B 0.169 0.169 0.493
B 0.169 0.493 0.169
B 0.493 0.169 0.169
B 0.501 0.501 0.999
B 0.501 0.999 0.501
B 0.501 0.999 0.999
B 0.649 0.053 0.649
B 0.649 0.649 0.053
B 0.649 0.649 0.649
B 0.999 0.501 0.501
B 0.999 0.501 0.999
B 0.999 0.999 0.501
Cl 0.000 0.000 0.000
Cl 0.500 0.500 0.500
O 0.054 0.492 0.811
O 0.054 0.643 0.492
O 0.054 0.811 0.643
O 0.148 0.314 0.546
O 0.148 0.546 0.992
O 0.148 0.992 0.314
O 0.250 0.250 0.250
O 0.314 0.148 0.992
O 0.314 0.546 0.148
O 0.314 0.992 0.546
O 0.492 0.054 0.643
O 0.492 0.643 0.811
O 0.492 0.811 0.054
O 0.546 0.148 0.314
O 0.546 0.314 0.992
O 0.546 0.992 0.148
O 0.643 0.054 0.811
O 0.643 0.492 0.054
O 0.643 0.811 0.492
O 0.811 0.054 0.492
O 0.811 0.492 0.643
O 0.811 0.643 0.054
O 0.992 0.148 0.546
O 0.992 0.314 0.148
O 0.992 0.546 0.314

=====

3.
# PuUC3
Calculated X-ray powder pattern, a wavelength of 1.5418 Å. Input: DFT lattice parameters and positions (PBE).
No peak broadening, texture or thermal motion is included.

Largest 10 diffraction maxima, in order of rising 2θ, 10 to 80 degrees two-theta:
2θ 27.1, rel. 47; 2θ 31.3, rel. 100; 2θ 35.2, rel. 86; 2θ 41.9, rel. 43; 2θ 53.2, rel. 27; 2θ 55.8, rel. 14; 2θ 58.3, rel. 60; 2θ 63.1, rel. 29; 2θ 72.1, rel. 11; 2θ 76.5, rel. 19

Structure:
a b c (Å): 6.991 6.991 6.991
angles (deg): 109.47 109.47 109.47
Atoms (fractional coordinates):
Pu 0.000 0.599 0.500
Pu 0.500 0.000 0.599
Pu 0.599 0.500 0.000
Pu 0.901 0.901 0.901
U 0.000 0.098 0.500
U 0.098 0.500 0.000
U 0.402 0.402 0.402
U 0.500 0.000 0.098
C 0.038 0.788 0.250
C 0.213 0.963 0.250
C 0.250 0.038 0.788
C 0.250 0.213 0.963
C 0.287 0.537 0.750
C 0.462 0.712 0.750
C 0.537 0.750 0.287
C 0.712 0.750 0.462
C 0.750 0.287 0.537
C 0.750 0.462 0.712
C 0.788 0.250 0.038
C 0.963 0.250 0.213

=====

4.
# Ho4CrS7
Calculated X-ray powder pattern, a wavelength of 1.5418 Å. Input: DFT lattice parameters and positions (PBE).
No peak broadening, texture or thermal motion is included.

Largest 10 diffraction maxima, in order of rising 2θ, 10 to 80 degrees two-theta:
2θ 25.0, rel. 100; 2θ 28.6, rel. 25; 2θ 28.9, rel. 24; 2θ 32.2, rel. 30; 2θ 32.7, rel. 26; 2θ 33.8, rel. 29; 2θ 35.2, rel. 31; 2θ 43.3, rel. 24; 2θ 48.1, rel. 19; 2θ 55.0, rel. 23

Structure:
a b c (Å): 6.470 6.470 11.306
angles (deg): 104.99 104.99 34.00
Atoms (fractional coordinates):
Ho 0.000 0.000 0.000
Ho 0.386 0.386 0.594
Ho 0.580 0.580 0.355
Ho 0.695 0.695 0.800
Cr 0.809 0.809 0.217
S 0.034 0.034 0.740
S 0.201 0.201 0.286
S 0.358 0.358 0.844
S 0.420 0.420 0.145
S 0.663 0.663 0.023
S 0.730 0.730 0.577
S 0.946 0.946 0.425

=====

5.
# Mg2CrNi3S8
Calculated X-ray powder pattern, a wavelength of 1.5418 Å. Input: DFT lattice parameters and positions (PBE).
No peak broadening, texture or thermal motion is included.

Largest 10 diffraction maxima, in order of rising 2θ, 10 to 80 degrees two-theta:
2θ 15.4, rel. 100; 2θ 29.6, rel. 53; 2θ 29.7, rel. 24; 2θ 35.8, rel. 34; 2θ 36.0, rel. 67; 2θ 47.1, rel. 19; 2θ 47.3, rel. 25; 2θ 51.7, rel. 47; 2θ 51.8, rel. 30; 2θ 51.9, rel. 15

Structure:
a b c (Å): 7.066 7.066 7.050
angles (deg): 119.79 119.79 60.07
Atoms (fractional coordinates):
Mg 0.126 0.126 0.375
Mg 0.874 0.874 0.625
Cr 0.500 0.500 0.000
Ni 0.000 0.500 0.000
Ni 0.500 0.000 0.000
Ni 0.500 0.500 0.500
S 0.263 0.704 0.237
S 0.264 0.264 0.797
S 0.268 0.268 0.234
S 0.296 0.737 0.763
S 0.704 0.263 0.237
S 0.732 0.732 0.766
S 0.736 0.736 0.203
S 0.737 0.296 0.763

=====

6.
# LaLuC3
Calculated X-ray powder pattern, a wavelength of 1.5418 Å. Input: DFT lattice parameters and positions (PBE).
No peak broadening, texture or thermal motion is included.

Largest 10 diffraction maxima, in order of rising 2θ, 10 to 80 degrees two-theta:
2θ 25.9, rel. 50; 2θ 30.0, rel. 91; 2θ 33.7, rel. 100; 2θ 40.1, rel. 54; 2θ 50.9, rel. 26; 2θ 53.3, rel. 16; 2θ 55.7, rel. 66; 2θ 60.2, rel. 27; 2θ 68.7, rel. 13; 2θ 72.8, rel. 20

Structure:
a b c (Å): 7.290 7.290 7.290
angles (deg): 109.47 109.47 109.47
Atoms (fractional coordinates):
La 0.000 0.611 0.500
La 0.500 0.000 0.611
La 0.611 0.500 0.000
La 0.889 0.889 0.889
Lu 0.000 0.100 0.500
Lu 0.100 0.500 0.000
Lu 0.400 0.400 0.400
Lu 0.500 0.000 0.100
C 0.061 0.811 0.250
C 0.220 0.970 0.250
C 0.250 0.061 0.811
C 0.250 0.220 0.970
C 0.280 0.530 0.750
C 0.439 0.689 0.750
C 0.530 0.750 0.280
C 0.689 0.750 0.439
C 0.750 0.280 0.530
C 0.750 0.439 0.689
C 0.811 0.250 0.061
C 0.970 0.250 0.220